Structure and calculated X-ray powder pattern of MgZnH12C4O12 (a cell relaxed with PBE; copper Kα).

Main lines, by angle (10 to 80 degrees two-theta):
(hkl), 2θ (°), d/Å, I (rel.)
1 1 -1, 17.79, 4.987, 100
0 0 2, 18.97, 4.678, 44
1 1 1, 19.18, 4.628, 65
2 0 0, 20.37, 4.360, 51
2 1 0, 23.81, 3.738, 14
1 1 2, 25.85, 3.447, 33
0 2 1, 26.24, 3.396, 17
1 2 0, 26.52, 3.361, 17
0 2 2, 31.12, 2.874, 15
3 1 -1, 33.44, 2.679, 28
3 0 -2, 34.11, 2.629, 41
0 3 1, 38.28, 2.351, 19

Structure:
abc: 8.7819 7.2882 9.4389
angles: 90.00 97.57 90.00
Atoms (fractional coordinates):
1 Mg 0.0000 0.0000 0.0000
2 Mg 0.0000 0.5000 0.5000
3 Zn 0.5000 0.0000 0.5000
4 Zn 0.5000 0.5000 0.0000
5 H 0.0698 0.2086 0.2758
6 H 0.0698 0.2914 0.7758
7 H 0.2169 0.6170 0.0097
8 H 0.2169 0.8830 0.5097
9 H 0.2365 0.0962 0.5483
10 H 0.2365 0.4038 0.0483
11 H 0.3036 0.5981 0.7645
12 H 0.3036 0.9019 0.2645
13 H 0.3260 0.5187 0.3961
14 H 0.3260 0.9813 0.8961
15 H 0.4714 0.6460 0.7238
16 H 0.4714 0.8540 0.2238
17 H 0.5286 0.1460 0.7762
18 H 0.5286 0.3540 0.2762
19 H 0.6740 0.0187 0.1039
20 H 0.6740 0.4813 0.6039
21 H 0.6964 0.0981 0.7355
22 H 0.6964 0.4019 0.2355
23 H 0.7635 0.5962 0.9517
24 H 0.7635 0.9038 0.4517
25 H 0.7831 0.1170 0.4903
26 H 0.7831 0.3830 0.9903
27 H 0.9302 0.7086 0.2242
28 H 0.9302 0.7914 0.7242
29 C 0.0380 0.7268 0.7735
30 C 0.0380 0.7732 0.2735
31 C 0.3216 0.1219 0.9396
32 C 0.3216 0.3781 0.4396
33 C 0.6784 0.6219 0.5604
34 C 0.6784 0.8781 0.0604
35 C 0.9620 0.2268 0.7265
36 C 0.9620 0.2732 0.2265
37 O 0.0920 0.7224 0.3991
38 O 0.0920 0.7776 0.8991
39 O 0.0993 0.6077 0.7012
40 O 0.0993 0.8923 0.2012
41 O 0.2046 0.1655 0.9996
42 O 0.2046 0.3345 0.4996
43 O 0.2812 0.5277 0.0703
44 O 0.2812 0.9723 0.5703
45 O 0.4141 0.6054 0.8017
46 O 0.4141 0.8946 0.3017
47 O 0.4336 0.2255 0.9232
48 O 0.4336 0.2745 0.4232
49 O 0.5664 0.7255 0.5768
50 O 0.5664 0.7745 0.0768
51 O 0.5859 0.1054 0.6983
52 O 0.5859 0.3946 0.1983
53 O 0.7188 0.0277 0.4297
54 O 0.7188 0.4723 0.9297
55 O 0.7954 0.6655 0.5004
56 O 0.7954 0.8345 0.0004
57 O 0.9007 0.1077 0.7988
58 O 0.9007 0.3923 0.2988
59 O 0.9080 0.2224 0.1009
60 O 0.9080 0.2776 0.6009